1.
For Mg3Sc2N4, DFT lattice parameters and positions (GGA-PBE) gives the calculated powder X-ray diffraction pattern in this record (Cu Kα).

a = 6.1889 Å, b = 6.1889 Å, c = 5.6713 Å
α = 90.42°, β = 90.42°, γ = 89.23°
Atoms (fractional coordinates):
Mg 0.2492 0.7508 0.7500
Mg 0.2593 0.4806 0.3938
Mg 0.4806 0.2593 0.8938
Mg 0.5194 0.7407 0.1062
Mg 0.7407 0.5194 0.6062
Mg 0.7508 0.2492 0.2500
Sc 0.0330 0.2586 0.8918
Sc 0.2586 0.0330 0.3918
Sc 0.7414 0.9670 0.6082
Sc 0.9670 0.7414 0.1082
N 0.0036 0.7527 0.4816
N 0.2453 0.5120 0.0080
N 0.2473 0.9964 0.0184
N 0.4880 0.7547 0.4920
N 0.5120 0.2453 0.5080
N 0.7527 0.0036 0.9816
N 0.7547 0.4880 0.9920
N 0.9964 0.2473 0.5184

Largest 8 diffraction maxima, in order of rising 2θ, 5° ≤ 2θ ≤ 70°:
- 2θ = 34.71°, I = 50
- 2θ = 34.90°, I = 57
- 2θ = 35.81°, I = 48
- 2θ = 36.09°, I = 52
- 2θ = 36.25°, I = 100
- 2θ = 40.97°, I = 67
- 2θ = 41.55°, I = 68
- 2θ = 59.78°, I = 62



2.
For Na2BSO4F3, DFT lattice parameters and positions (GGA-PBE) gives the calculated powder X-ray diffraction pattern in this record (Cu Kα).

a = 6.7073 Å, b = 6.7252 Å, c = 6.7370 Å
α = 84.36°, β = 66.33°, γ = 84.25°
Atoms (fractional coordinates):
Na 0.2230 0.4042 0.2659
Na 0.2299 0.8456 0.8848
Na 0.7701 0.1544 0.1152
Na 0.7770 0.5958 0.7341
B 0.3379 0.8753 0.3555
B 0.6621 0.1247 0.6445
S 0.2703 0.3494 0.7734
S 0.7297 0.6506 0.2266
O 0.1500 0.1985 0.9432
O 0.1515 0.4366 0.6416
O 0.3434 0.5003 0.8699
O 0.4779 0.2387 0.6066
O 0.5221 0.7613 0.3934
O 0.6566 0.4997 0.1301
O 0.8485 0.5634 0.3584
O 0.8500 0.8015 0.0568
F 0.1721 0.8989 0.5627
F 0.2657 0.7731 0.2251
F 0.4023 0.0676 0.2495
F 0.5977 0.9324 0.7505
F 0.7343 0.2269 0.7749
F 0.8279 0.1011 0.4373

Largest 8 diffraction maxima, in order of rising 2θ, 5° ≤ 2θ ≤ 70°:
- 2θ = 20.23°, I = 39
- 2θ = 26.77°, I = 43
- 2θ = 28.67°, I = 45
- 2θ = 29.00°, I = 38
- 2θ = 29.14°, I = 96
- 2θ = 29.60°, I = 100
- 2θ = 31.36°, I = 97
- 2θ = 42.26°, I = 33



3.
For LiAlC2N4, DFT lattice parameters and positions (GGA-PBE) gives the calculated powder X-ray diffraction pattern in this record (Cu Kα).

a = 9.2140 Å, b = 6.5417 Å, c = 5.4787 Å
α = 90.00°, β = 90.00°, γ = 90.00°
Atoms (fractional coordinates):
Li 0.0000 0.1207 0.2500
Li 0.0000 0.8793 0.7500
Li 0.5000 0.3793 0.7500
Li 0.5000 0.6207 0.2500
Al 0.0000 0.3794 0.7500
Al 0.0000 0.6206 0.2500
Al 0.5000 0.1206 0.2500
Al 0.5000 0.8794 0.7500
C 0.2461 0.3688 0.0880
C 0.2461 0.6312 0.5880
C 0.2539 0.1312 0.5880
C 0.2539 0.8688 0.0880
C 0.7461 0.1312 0.9120
C 0.7461 0.8688 0.4120
C 0.7539 0.3688 0.4120
C 0.7539 0.6312 0.9120
N 0.1134 0.4005 0.0639
N 0.1134 0.5995 0.5639
N 0.1242 0.1578 0.6102
N 0.1242 0.8422 0.1102
N 0.3758 0.3422 0.1102
N 0.3758 0.6578 0.6102
N 0.3866 0.0995 0.5639
N 0.3866 0.9005 0.0639
N 0.6134 0.0995 0.9361
N 0.6134 0.9005 0.4361
N 0.6242 0.3422 0.3898
N 0.6242 0.6578 0.8898
N 0.8758 0.1578 0.8898
N 0.8758 0.8422 0.3898
N 0.8866 0.4005 0.4361
N 0.8866 0.5995 0.9361

Largest 8 diffraction maxima, in order of rising 2θ, 5° ≤ 2θ ≤ 70°:
- 2θ = 16.62°, I = 72
- 2θ = 23.27°, I = 51
- 2θ = 33.35°, I = 100
- 2θ = 34.15°, I = 53
- 2θ = 37.51°, I = 53
- 2θ = 38.22°, I = 22
- 2θ = 51.31°, I = 29
- 2θ = 57.83°, I = 31